Starting from a DFT-relaxed cell (PBE+U, Alexandria), the powder XRD pattern of MgFe10O16 was simulated for copper Kα.
Lines closer than 0.1° are merged.

Principal peaks in the range 2θ from 15° to 90°, by intensity:
- 2θ = 36.0°, I 1000
- 2θ = 35.9°, I 985
- 2θ = 63.3°, I 606
- 2θ = 43.8°, I 595
- 2θ = 30.8°, I 566
- 2θ = 64.1°, I 541
- 2θ = 36.3°, I 540
- 2θ = 18.8°, I 439
- 2θ = 58.0°, I 330
- 2θ = 58.3°, I 284

Cell and atoms:
Cell: 5.8762 5.8762 28.2974 Å, 90.00 90.00 120.00°
Space group R3m (No. 160, hexagonal axes)
One atom of each set of equivalent atoms:
Mg: 0.0000 0.0000 0.0000
Fe: 0.0000 0.0000 0.3796
Fe: 0.0000 0.0000 0.5000
Fe: 0.0000 0.0000 0.6889
Fe: 0.0000 0.0000 0.8805
Fe: 0.0000 0.5000 0.9394
Fe: 0.1685 0.3371 0.7743
O: 0.0000 0.0000 0.0708
O: 0.0000 0.0000 0.3120
O: 0.0000 0.0000 0.5689
O: 0.0000 0.0000 0.8105
O: 0.0094 0.5047 0.8079
O: 0.0377 0.5188 0.3130
O: 0.1713 0.3425 0.9062
O: 0.1820 0.3640 0.3994